Simulated X-ray powder pattern of EuSn3Sb4 for λ = 1.5418 Å (Cu Kα), from DFT lattice parameters and positions (PBE).
Kinematic intensities with the Lorentz-polarization factor, no thermal factor.

Peak list (10 most intense, 10 to 90 degrees two-theta, in order of rising 2θ)
2θ = 23.1°, I 38, (1 1 2)
2θ = 26.3°, I 70, (2 0 5)
2θ = 26.9°, I 42, (3 0 1)
2θ = 27.0°, I 60, (2 1 1)
2θ = 29.3°, I 85, (1 1 5)
2θ = 31.2°, I 55, (0 0 8)
2θ = 32.1°, I 92, (1 1 6)
2θ = 33.7°, I 100, (3 1 1)
2θ = 40.4°, I 76, (0 2 0)
2θ = 44.3°, I 48, (4 1 4)

Structure:
a b c (Å): 10.0576 4.4642 22.9443
angles (deg): 90.00 90.00 90.00
Space group Pnma (No. 62)
Symmetry-distinct sites (fractional):
1 Eu 0.0608 0.2500 0.1291 x4
2 Sn 0.0458 0.7500 0.3504 x4
3 Sn 0.1489 0.7500 0.5117 x4
4 Sn 0.2211 0.7500 0.7498 x4
5 Sb 0.0306 0.2500 0.7701 x4
6 Sb 0.0696 0.2500 0.9701 x4
7 Sb 0.2079 0.2500 0.5939 x4
8 Sb 0.2159 0.2500 0.3772 x4

Simulated X-ray powder pattern of Eu11Zn6Sb12 for λ = 1.5418 Å (Cu Kα), from DFT lattice parameters and positions (PBE).
Kinematic intensities with the Lorentz-polarization factor, no thermal factor.

Peak list (10 most intense, 10 to 90 degrees two-theta, in order of rising 2θ)
2θ = 28.1°, I 50, (7 1 0)
2θ = 29.3°, I 44, (1 1 -3)
2θ = 29.4°, I 42, (4 0 -4)
2θ = 29.7°, I 100, (5 1 -3)
2θ = 31.0°, I 24, (7 1 1)
2θ = 31.3°, I 46, (5 1 2)
2θ = 31.6°, I 42, (9 1 -1)
2θ = 32.3°, I 48, (9 1 -2)
2θ = 37.1°, I 35, (5 1 3)
2θ = 37.5°, I 84, (0 2 0)

Structure:
a b c (Å): 31.5575 4.7971 12.1496
angles (deg): 90.00 109.70 90.00
Space group C2/m (No. 12)
Symmetry-distinct sites (fractional):
1 Eu 0.0000 0.0000 0.0000 x2
2 Eu 0.0183 0.0000 0.6766 x4
3 Eu 0.1145 0.0000 0.5104 x4
4 Eu 0.1263 0.0000 0.0196 x4
5 Eu 0.2005 0.0000 0.3466 x4
6 Eu 0.2190 0.5000 0.8607 x4
7 Zn 0.0450 0.5000 0.2443 x4
8 Zn 0.0987 0.5000 0.7432 x4
9 Zn 0.2175 0.0000 0.6719 x4
10 Sb 0.0456 0.5000 0.5023 x4
11 Sb 0.0467 0.5000 0.8832 x4
12 Sb 0.0871 0.0000 0.2349 x4
13 Sb 0.1469 0.0000 0.7837 x4
14 Sb 0.1922 0.5000 0.5400 x4
15 Sb 0.2053 0.5000 0.1400 x4

Simulated X-ray powder pattern of EuZn2Sb2 for λ = 1.5418 Å (Cu Kα), from DFT lattice parameters and positions (PBE).
Kinematic intensities with the Lorentz-polarization factor, no thermal factor.

Peak list (10 most intense, 10 to 90 degrees two-theta, in order of rising 2θ)
2θ = 25.5°, I 100, (1 0 1)
2θ = 33.1°, I 82, (1 0 2)
2θ = 39.3°, I 82, (1 1 0)
2θ = 43.1°, I 31, (0 1 3)
2θ = 47.5°, I 18, (0 2 1)
2θ = 52.3°, I 22, (0 2 2)
2θ = 54.6°, I 27, (1 1 3)
2θ = 63.3°, I 16, (2 1 1)
2θ = 67.4°, I 35, (1 0 5)
2θ = 71.3°, I 14, (3 0 0)

Structure:
a b c (Å): 4.5800 4.5800 7.4232
angles (deg): 90.00 90.00 120.00
Space group P-3m1 (No. 164)
Symmetry-distinct sites (fractional):
1 Eu 0.0000 0.0000 0.0000 x1
2 Zn 0.3333 0.6667 0.3591 x2
3 Sb 0.3333 0.6667 0.7371 x2